Structure and theoretical powder X-ray diffraction pattern of Al2FeO4 (a cell relaxed with GGA+U; Cu Kα, 1.54184 Å).
Peak positions follow from Bragg's law for the DFT cell and can differ from measured ones.

Structure:
```
56
Lattice="2.906 1.678 19.133 -2.906 1.678 19.133 0.000 -3.356 19.133" Properties=species:S:1:pos:R:3 pbc="T T T"
Al 0.000 0.000 0.000
Al 0.000 0.000 5.460
Al -1.479 -0.854 31.742
Al 0.000 -1.659 22.236
Al -1.437 0.829 22.236
Al 0.000 0.000 14.395
Al -1.451 -0.838 46.110
Al 0.000 -1.642 36.559
Al -1.422 0.821 36.559
Al 1.437 0.829 22.236
Al 1.479 -0.854 31.742
Al 0.000 1.708 31.742
Al 0.000 0.000 48.472
Al 1.422 0.821 36.559
Al 1.451 -0.838 46.110
Al 0.000 1.676 46.110
Fe 0.000 0.000 10.810
Fe 0.000 0.000 19.861
Fe 0.000 0.000 25.220
Fe 0.000 0.000 28.821
Fe 0.000 0.000 34.172
Fe 0.000 0.000 39.607
Fe 0.000 0.000 43.092
Fe 0.000 0.000 53.905
O 0.000 -1.896 11.484
O -1.642 0.948 11.484
O 0.000 0.000 1.858
O -1.347 -0.778 21.247
O -1.630 -0.941 28.093
O 0.000 0.000 8.806
O 0.000 -1.629 18.481
O -1.411 0.814 18.481
O 0.000 -1.886 25.857
O -1.633 0.943 25.857
O 0.000 0.000 16.304
O -1.327 -0.766 35.559
O -1.659 -0.958 42.446
O 0.000 0.000 23.238
O 0.000 -1.676 32.832
O -1.451 0.838 32.832
O 1.347 -0.778 21.247
O 0.000 1.556 21.247
O 0.000 0.000 30.900
O 1.642 0.948 11.484
O 1.411 0.814 18.481
O 0.000 0.000 37.601
O 1.630 -0.941 28.093
O 0.000 1.883 28.093
O 1.327 -0.766 35.559
O 0.000 1.532 35.559
O 0.000 0.000 45.127
O 1.633 0.943 25.857
O 0.000 0.000 51.865
O 1.451 0.838 32.832
O 1.659 -0.958 42.446
O 0.000 1.916 42.446
```

Peak list (8 most intense, 2θ from 10° to 90°, sorted by position)
two_theta  I/Imax
30.60  26
30.77  47
36.02  38
36.18  100
43.95  22
58.22  45
63.71  35
64.09  36


Structure and theoretical powder X-ray diffraction pattern of MgZn2Mo3O8 (a cell relaxed with GGA+U; Cu Kα, 1.54184 Å).
Peak positions follow from Bragg's law for the DFT cell and can differ from measured ones.

Structure:
```
14
Lattice="5.591 0.000 0.000 1.950 5.811 0.000 1.809 2.423 5.359" Properties=species:S:1:pos:R:3 pbc="T T T"
Mg 0.000 0.000 0.000
Zn 6.115 7.451 4.787
Zn 5.966 4.656 2.997
Mo 3.096 5.261 5.211
Mo 3.217 6.900 2.606
Mo 3.986 2.185 1.341
O 2.883 2.152 3.264
O 3.030 3.951 0.477
O 4.011 5.224 3.261
O 2.132 0.998 0.637
O 6.799 4.281 4.794
O 6.966 6.129 1.927
O 5.944 2.952 1.879
O 7.952 7.135 4.515
```

Peak list (8 most intense, 2θ from 10° to 90°, sorted by position)
two_theta  I/Imax
18.06  69
29.08  26
30.04  44
32.64  100
33.45  64
34.35  35
40.43  37
54.42  25


Structure and theoretical powder X-ray diffraction pattern of Mn12O7F17 (a cell relaxed with GGA+U; Cu Kα, 1.54184 Å).
Peak positions follow from Bragg's law for the DFT cell and can differ from measured ones.

Structure:
```
36
Lattice="4.794 0.000 0.000 -0.056 5.807 0.000 -0.062 -0.143 15.861" Properties=species:S:1:pos:R:3 pbc="T T T"
Mn 0.000 0.000 0.000
Mn -0.022 0.070 5.518
Mn 0.066 5.675 10.689
Mn 0.141 1.858 2.894
Mn 0.157 1.803 8.084
Mn 2.384 4.675 2.767
Mn 2.402 2.828 10.652
Mn 2.481 4.665 7.976
Mn 2.531 2.787 5.242
Mn 2.515 4.498 13.385
Mn 2.621 2.873 0.040
Mn 4.632 1.805 13.352
O 1.402 3.094 8.900
O 1.488 3.025 3.632
O 3.424 3.060 12.443
O 3.463 4.279 15.041
O 3.764 1.432 15.026
O 3.871 1.566 4.550
O 3.906 0.246 7.235
F 1.031 1.607 11.665
F 1.174 0.149 3.826
F 1.222 0.076 14.100
F 1.263 1.570 1.058
F 1.230 2.989 14.267
F 1.292 1.565 6.405
F 1.346 0.234 9.010
F 1.337 4.474 0.926
F 1.366 4.433 6.177
F 1.396 4.449 11.693
F 3.566 4.363 9.761
F 3.607 3.114 6.988
F 3.618 4.474 4.476
F 3.680 3.214 1.853
F 3.702 0.165 12.379
F 3.820 0.326 1.938
F 3.826 1.533 9.780
```

Peak list (8 most intense, 2θ from 10° to 90°, sorted by position)
two_theta  I/Imax
23.96  50
24.19  50
29.35  49
29.44  100
29.70  54
51.35  25
51.57  24
52.20  36


Structure and theoretical powder X-ray diffraction pattern of KLaNiSbO6 (a cell relaxed with GGA+U; Cu Kα, 1.54184 Å).
Peak positions follow from Bragg's law for the DFT cell and can differ from measured ones.

Structure:
```
10
Lattice="0.000 3.997 3.997 3.997 0.000 3.997 3.997 3.997 0.000" Properties=species:S:1:pos:R:3 pbc="T T T"
K 0.000 0.000 0.000
La 3.997 3.997 3.997
Ni 5.996 5.996 5.996
Sb 1.999 1.999 1.999
O 1.999 1.999 0.017
O 1.999 0.017 1.999
O 3.980 1.999 1.999
O 0.017 1.999 1.999
O 1.999 3.980 1.999
O 1.999 1.999 3.980
```

Peak list (8 most intense, 2θ from 10° to 90°, sorted by position)
two_theta  I/Imax
19.23  25
31.66  100
37.30  15
45.38  34
56.38  38
66.12  20
75.16  16
83.84  7


Structure and theoretical powder X-ray diffraction pattern of Mn2ZnCu2O8 (a cell relaxed with GGA+U; Cu Kα, 1.54184 Å).
Peak positions follow from Bragg's law for the DFT cell and can differ from measured ones.

Structure:
```
52
Lattice="6.404 0.000 0.000 0.000 8.305 0.000 -0.117 0.000 11.883" Properties=species:S:1:pos:R:3 pbc="T T T"
Mn 0.594 0.324 4.102
Mn 0.535 3.829 10.044
Mn 2.444 4.908 4.378
Mn 2.385 7.550 10.319
Mn 3.901 0.755 1.564
Mn 3.843 3.397 7.505
Mn 5.751 4.476 1.840
Mn 5.693 7.981 7.781
Zn 0.701 1.388 0.595
Zn 0.642 2.765 6.537
Zn 5.644 5.540 5.346
Zn 5.586 6.917 11.288
Cu 1.450 5.609 7.547
Cu 1.509 6.848 1.606
Cu 2.409 0.443 7.507
Cu 2.467 3.710 1.565
Cu 3.819 4.595 10.318
Cu 3.878 7.862 4.376
Cu 4.778 1.457 10.277
Cu 4.836 2.696 4.336
O 0.175 1.922 4.679
O 0.116 2.231 10.620
O 0.501 0.841 7.322
O 0.560 3.311 1.381
O 0.773 0.277 2.402
O 0.714 3.876 8.344
O 1.154 4.809 5.591
O 1.096 7.648 11.533
O 2.027 5.253 2.716
O 1.968 7.205 8.657
O 2.001 4.272 10.806
O 2.060 8.186 4.865
O 2.647 1.821 1.009
O 2.588 2.332 6.951
O 2.999 0.835 10.229
O 3.058 3.317 4.287
O 3.229 4.988 7.596
O 3.287 7.470 1.654
O 3.698 5.973 4.932
O 3.640 6.484 10.874
O 4.226 0.119 7.019
O 4.285 4.033 1.077
O 4.318 1.100 3.226
O 4.260 3.052 9.168
O 5.191 0.657 0.350
O 5.132 3.496 6.292
O 5.572 4.429 3.539
O 5.514 8.028 9.481
O 5.727 4.994 10.503
O 5.785 7.464 4.561
O 6.170 6.074 1.263
O 6.112 6.383 7.204
```

Peak list (8 most intense, 2θ from 10° to 90°, sorted by position)
two_theta  I/Imax
20.29  54
22.97  42
29.65  43
30.08  100
30.80  48
30.93  90
33.23  79
34.37  55


Structure and theoretical powder X-ray diffraction pattern of ZnFe2P2O10 (a cell relaxed with GGA+U; Cu Kα, 1.54184 Å).
Peak positions follow from Bragg's law for the DFT cell and can differ from measured ones.

Structure:
```
30
Lattice="0.000 5.511 8.318 3.541 0.000 8.318 3.541 5.511 0.000" Properties=species:S:1:pos:R:3 pbc="T T T"
Zn 0.885 1.378 2.080
Zn 6.196 9.644 14.557
Fe 3.541 2.755 4.159
Fe 1.770 5.511 4.159
Fe 1.770 2.755 8.318
Fe 3.541 5.511 8.318
P 2.656 4.133 1.385
P 4.426 6.888 5.544
P 2.656 4.133 11.092
P 4.426 6.888 15.252
O 2.400 2.891 2.315
O 2.114 1.529 4.628
O 3.197 1.529 7.850
O 4.968 4.284 8.787
O 2.912 5.375 2.315
O 4.682 5.647 6.474
O 2.656 4.133 4.949
O 3.197 6.737 4.628
O 2.656 4.133 7.528
O 2.912 2.891 10.163
O 4.170 8.130 6.474
O 4.426 6.888 9.109
O 3.884 4.284 12.009
O 4.426 6.888 11.687
O 2.400 5.375 10.163
O 4.170 5.647 14.322
O 2.114 6.737 7.850
O 3.884 9.493 8.787
O 4.968 9.493 12.009
O 4.682 8.130 14.322
```

Peak list (8 most intense, 2θ from 10° to 90°, sorted by position)
two_theta  I/Imax
21.90  41
27.88  60
30.00  37
30.78  100
31.88  57
37.12  34
53.75  24
56.48  23


Structure and theoretical powder X-ray diffraction pattern of Li2V3WO8 (a cell relaxed with GGA+U; Cu Kα, 1.54184 Å).
Peak positions follow from Bragg's law for the DFT cell and can differ from measured ones.

Structure:
```
28
Lattice="5.319 -3.023 0.000 5.319 3.023 0.000 -3.507 0.000 9.917" Properties=species:S:1:pos:R:3 pbc="T T T"
Li 1.845 0.000 0.632
Li 1.722 -0.009 4.326
Li 5.408 -0.009 5.592
Li 5.285 0.000 9.285
V 4.439 1.504 2.479
V 2.691 1.504 7.438
V 5.319 -0.055 0.000
V 2.685 -1.518 7.433
V 4.445 -1.518 2.484
V 3.565 -2.975 4.959
W 0.030 -0.004 7.435
W 7.100 -0.004 2.482
O 2.672 1.683 3.629
O -0.203 -0.005 3.657
O -1.715 -0.026 8.512
O 0.918 1.331 8.582
O 4.458 1.683 6.289
O 1.772 0.017 6.359
O 3.771 -0.002 1.306
O 6.212 1.331 1.335
O 3.359 -0.002 8.612
O 0.967 -1.397 8.612
O 5.357 0.017 3.558
O 2.725 -1.632 3.649
O 6.163 -1.397 1.305
O 8.845 -0.026 1.405
O 4.405 -1.632 6.269
O 7.333 -0.005 6.260
```

Peak list (8 most intense, 2θ from 10° to 90°, sorted by position)
two_theta  I/Imax
17.90  100
20.67  13
34.40  13
34.51  12
34.63  23
36.26  12
41.84  13
42.06  25


Structure and theoretical powder X-ray diffraction pattern of Ca5V3O13 (a cell relaxed with GGA+U; Cu Kα, 1.54184 Å).
Peak positions follow from Bragg's law for the DFT cell and can differ from measured ones.

Structure:
```
42
Lattice="9.928 0.000 0.000 -4.964 8.598 0.000 0.000 0.000 7.041" Properties=species:S:1:pos:R:3 pbc="T T T"
Ca -3.706 6.494 1.760
Ca 1.193 2.142 1.760
Ca 2.451 0.038 5.281
Ca 0.000 5.732 3.537
Ca 0.000 5.732 7.025
Ca 4.964 2.866 0.016
Ca 4.964 2.866 3.504
Ca 2.513 8.560 1.760
Ca 3.771 6.456 5.281
Ca 8.670 2.104 5.281
V -1.693 3.438 1.760
V -1.140 8.345 1.760
V 2.131 3.185 5.281
V 2.833 5.413 1.760
V 6.104 0.253 5.281
V 6.657 5.160 5.281
O 0.000 0.000 1.760
O 0.000 0.000 5.281
O -0.783 2.906 0.390
O -0.783 2.906 3.131
O -1.671 5.202 1.760
O -1.662 5.807 5.281
O -2.056 7.823 0.390
O -2.056 7.823 3.131
O 0.766 4.255 5.281
O 2.125 2.131 3.910
O 2.125 2.131 6.652
O 1.295 4.550 1.760
O 0.376 7.444 1.760
O 4.068 1.464 1.760
O 0.896 7.134 5.281
O 4.588 1.154 5.281
O 3.669 4.048 5.281
O 2.839 6.467 0.390
O 2.839 6.467 3.131
O 4.198 4.343 1.760
O 7.020 0.775 3.910
O 7.020 0.775 6.652
O 6.626 2.791 1.760
O 6.635 3.396 5.281
O 5.747 5.692 3.910
O 5.747 5.692 6.652
```

Peak list (8 most intense, 2θ from 10° to 90°, sorted by position)
two_theta  I/Imax
21.91  19
25.30  37
30.29  100
31.18  95
32.88  27
44.67  31
47.83  50
53.23  20